Record 1
This entry pairs a crystal structure of Ba2ZnCr2CuF14 with its simulated powder diffractogram. Radiation: Cu Kα (λ = 1.5418 Å). Structure: a structure optimized by DFT (PBE+U).

Largest 10 diffraction maxima, by angle, 2θ from 10° to 90°:
3.531 Å, 25.22 deg, rel. 100
3.304 Å, 26.98 deg, rel. 23
3.231 Å, 27.61 deg, rel. 30
3.160 Å, 28.24 deg, rel. 21
2.974 Å, 30.05 deg, rel. 33
2.947 Å, 30.33 deg, rel. 26
2.232 Å, 40.41 deg, rel. 17
2.211 Å, 40.82 deg, rel. 22
1.842 Å, 49.48 deg, rel. 19
1.646 Å, 55.84 deg, rel. 21

Atomic structure:
```
Ba2ZnCr2CuF14
1.0
7.0905 -2.6571 0.0000
7.0905 2.6571 0.0000
-0.3969 0.0000 14.7302
Ba Zn Cr Cu F
4 2 4 2 28
direct
0.1131 0.2591 0.1238 Ba
0.2591 0.1131 0.6238 Ba
0.7409 0.8869 0.3762 Ba
0.8869 0.7409 0.8762 Ba
0.4320 0.5680 0.2500 Zn
0.5680 0.4320 0.7500 Zn
0.1001 0.1384 0.3736 Cr
0.1384 0.1001 0.8736 Cr
0.8616 0.8999 0.1264 Cr
0.8999 0.8616 0.6264 Cr
0.5000 0.5000 0.0000 Cu
0.5000 0.5000 0.5000 Cu
0.0315 0.6422 0.2228 F
0.0935 0.8940 0.3391 F
0.1060 0.9065 0.1609 F
0.1215 0.7157 0.5175 F
0.1305 0.5948 0.0451 F
0.1521 0.3477 0.4038 F
0.1938 0.5810 0.7107 F
0.2843 0.8785 0.9825 F
0.3477 0.1521 0.9038 F
0.3578 0.9685 0.2772 F
0.3927 0.5124 0.8780 F
0.4052 0.8695 0.4549 F
0.4190 0.8062 0.7893 F
0.4876 0.6073 0.6220 F
0.5124 0.3927 0.3780 F
0.5810 0.1938 0.2107 F
0.5948 0.1305 0.5451 F
0.6073 0.4876 0.1220 F
0.6422 0.0315 0.7228 F
0.6523 0.8479 0.0962 F
0.7157 0.1215 0.0175 F
0.8062 0.4190 0.2893 F
0.8479 0.6523 0.5962 F
0.8695 0.4052 0.9549 F
0.8785 0.2843 0.4825 F
0.8940 0.0935 0.8391 F
0.9065 0.1060 0.6609 F
0.9685 0.3578 0.7772 F
```

***

Record 2
This entry pairs a crystal structure of Li9Ni15O28 with its simulated powder diffractogram. Radiation: Cu Kα (λ = 1.5418 Å). Structure: a structure optimized by DFT (PBE+U).

Largest 10 diffraction maxima, by angle, 2θ from 10° to 90°:
4.765 Å, 18.62 deg, rel. 100
2.453 Å, 36.63 deg, rel. 13
2.422 Å, 37.12 deg, rel. 12
2.403 Å, 37.43 deg, rel. 12
2.382 Å, 37.76 deg, rel. 7
2.324 Å, 38.74 deg, rel. 12
2.055 Å, 44.06 deg, rel. 25
2.025 Å, 44.76 deg, rel. 24
2.003 Å, 45.28 deg, rel. 23
1.432 Å, 65.17 deg, rel. 7

Atomic structure:
```
Li9Ni15O28
1.0
7.5595 0.0000 0.0000
-2.0625 7.9598 0.0000
-2.3214 -2.8204 7.7595
Li Ni O
9 15 28
direct
0.0000 0.0000 0.0000 Li
0.0680 0.7282 0.7923 Li
0.1398 0.4208 0.5638 Li
0.3509 0.5751 0.9301 Li
0.4263 0.2801 0.7073 Li
0.5737 0.7199 0.2927 Li
0.6491 0.4249 0.0699 Li
0.8602 0.5792 0.4362 Li
0.9320 0.2718 0.2077 Li
0.0000 0.5000 0.0000 Ni
0.0677 0.2090 0.7900 Ni
0.1429 0.9277 0.5708 Ni
0.2145 0.6455 0.3572 Ni
0.2919 0.3590 0.1457 Ni
0.3646 0.0760 0.9316 Ni
0.4294 0.7874 0.7124 Ni
0.5000 0.0000 0.5000 Ni
0.5000 0.5000 0.5000 Ni
0.5706 0.2126 0.2876 Ni
0.6354 0.9240 0.0684 Ni
0.7081 0.6410 0.8543 Ni
0.7855 0.3545 0.6428 Ni
0.8571 0.0723 0.4292 Ni
0.9323 0.7910 0.2100 Ni
0.0306 0.2543 0.0051 O
0.0537 0.4444 0.7925 O
0.1007 0.9855 0.7900 O
0.1191 0.1735 0.5839 O
0.1567 0.6874 0.5823 O
0.2110 0.8747 0.3715 O
0.2283 0.4160 0.3471 O
0.2708 0.5778 0.1314 O
0.3044 0.1375 0.1504 O
0.3601 0.3150 0.9501 O
0.3745 0.8364 0.9172 O
0.4065 0.0315 0.7043 O
0.4446 0.5330 0.7055 O
0.4778 0.7435 0.5026 O
0.5222 0.2565 0.4974 O
0.5554 0.4670 0.2945 O
0.5935 0.9685 0.2957 O
0.6255 0.1636 0.0828 O
0.6399 0.6850 0.0499 O
0.6956 0.8625 0.8496 O
0.7292 0.4222 0.8686 O
0.7717 0.5840 0.6529 O
0.7890 0.1253 0.6285 O
0.8433 0.3126 0.4177 O
0.8809 0.8265 0.4161 O
0.8993 0.0145 0.2100 O
0.9463 0.5556 0.2075 O
0.9694 0.7457 0.9949 O
```

***

Record 3
This entry pairs a crystal structure of CoF3 with its simulated powder diffractogram. Radiation: Cu Kα (λ = 1.5418 Å). Structure: a structure optimized by DFT (PBE+U).

Largest 10 diffraction maxima, by angle, 2θ from 10° to 90°:
3.693 Å, 24.10 deg, rel. 100
2.743 Å, 32.65 deg, rel. 14
2.700 Å, 33.19 deg, rel. 7
2.497 Å, 35.96 deg, rel. 6
1.846 Å, 49.36 deg, rel. 19
1.717 Å, 53.36 deg, rel. 18
1.696 Å, 54.08 deg, rel. 9
1.611 Å, 57.19 deg, rel. 5
1.593 Å, 57.89 deg, rel. 8
1.455 Å, 64.00 deg, rel. 6

Atomic structure:
```
CoF3
1.0
4.3064 -2.5312 0.0000
4.3064 2.5312 0.0000
-0.1004 0.0000 7.0106
Co F
3 9
direct
0.0000 0.0000 0.0000 Co
0.3361 0.3337 0.6615 Co
0.6663 0.6639 0.3385 Co
0.0792 0.2683 0.8264 F
0.2790 0.6695 0.8252 F
0.3305 0.7210 0.1748 F
0.3823 0.0021 0.4988 F
0.6189 0.3811 0.5000 F
0.6890 0.0545 0.8255 F
0.7317 0.9208 0.1736 F
0.9455 0.3110 0.1745 F
0.9979 0.6177 0.5012 F
```

***

Record 4
This entry pairs a crystal structure of SrCa3Mn4O10 with its simulated powder diffractogram. Radiation: Cu Kα (λ = 1.5418 Å). Structure: a structure optimized by DFT (PBE+U).

Largest 10 diffraction maxima, by angle, 2θ from 10° to 90°:
7.733 Å, 11.44 deg, rel. 20
2.837 Å, 31.53 deg, rel. 60
2.800 Å, 31.96 deg, rel. 54
2.762 Å, 32.42 deg, rel. 100
2.731 Å, 32.79 deg, rel. 57
2.707 Å, 33.10 deg, rel. 52
2.002 Å, 45.29 deg, rel. 41
1.935 Å, 46.97 deg, rel. 30
1.932 Å, 47.04 deg, rel. 36
1.594 Å, 57.84 deg, rel. 21

Atomic structure:
```
SrCa3Mn4O10
1.0
7.7300 0.0000 0.0000
-0.1530 7.7436 0.0000
-0.1054 -0.3051 8.0095
Sr Ca Mn O
2 6 8 20
direct
0.0000 0.0000 0.0000 Sr
0.0261 0.9710 0.5106 Sr
0.0194 0.4721 0.0263 Ca
0.5074 0.4170 0.4981 Ca
0.5188 0.0085 0.0156 Ca
0.5326 0.4736 0.0416 Ca
0.5459 0.9754 0.4974 Ca
0.9670 0.4415 0.4897 Ca
0.2571 0.2231 0.2518 Mn
0.2587 0.2507 0.7607 Mn
0.2623 0.6925 0.7322 Mn
0.2718 0.7294 0.2723 Mn
0.7485 0.2226 0.7555 Mn
0.7542 0.2302 0.2553 Mn
0.7627 0.7121 0.2568 Mn
0.7737 0.7206 0.7546 Mn
0.0017 0.2575 0.2261 O
0.0029 0.2417 0.7889 O
0.0162 0.6829 0.2696 O
0.0402 0.7633 0.7680 O
0.2085 0.9728 0.2506 O
0.2244 0.2888 0.5237 O
0.2815 0.1643 0.9805 O
0.3005 0.5096 0.8641 O
0.3064 0.4782 0.2331 O
0.3152 0.7868 0.5329 O
0.4985 0.1972 0.7067 O
0.5100 0.1758 0.2825 O
0.5207 0.7837 0.2175 O
0.7136 0.4708 0.2979 O
0.7223 0.2349 0.0198 O
0.7274 0.9615 0.7939 O
0.7347 0.4750 0.7043 O
0.7609 0.7682 0.5022 O
0.7751 0.6808 0.0051 O
0.7885 0.1795 0.4861 O
```

***

Record 5
This entry pairs a crystal structure of Zn2CoIrO6 with its simulated powder diffractogram. Radiation: Cu Kα (λ = 1.5418 Å). Structure: a structure optimized by DFT (PBE+U).

Largest 10 diffraction maxima, by angle, 2θ from 10° to 90°:
4.245 Å, 20.93 deg, rel. 80
3.635 Å, 24.49 deg, rel. 26
2.619 Å, 34.24 deg, rel. 100
2.610 Å, 34.35 deg, rel. 100
2.575 Å, 34.85 deg, rel. 47
2.567 Å, 34.96 deg, rel. 47
1.882 Å, 48.37 deg, rel. 26
1.818 Å, 50.19 deg, rel. 43
1.520 Å, 60.96 deg, rel. 33
1.494 Å, 62.14 deg, rel. 63

Atomic structure:
```
Zn2CoIrO6
1.0
5.1332 0.0000 0.0000
0.0000 5.1493 0.0000
-5.0978 0.0000 7.5269
Zn Co Ir O
4 2 2 12
direct
0.2412 0.0324 0.2489 Zn
0.2412 0.4676 0.7489 Zn
0.7588 0.5324 0.2511 Zn
0.7588 0.9676 0.7511 Zn
0.0000 0.0000 0.5000 Co
0.0000 0.5000 0.0000 Co
0.5000 0.0000 0.0000 Ir
0.5000 0.5000 0.5000 Ir
0.1334 0.0844 0.7476 O
0.1334 0.4156 0.2476 O
0.2346 0.6810 0.5615 O
0.2346 0.8190 0.0615 O
0.3860 0.1748 0.5650 O
0.3860 0.3252 0.0650 O
0.6140 0.6748 0.9350 O
0.6140 0.8252 0.4350 O
0.7654 0.1810 0.9385 O
0.7654 0.3190 0.4385 O
0.8666 0.5844 0.7524 O
0.8666 0.9156 0.2524 O
```

***

Record 6
This entry pairs a crystal structure of Sr2DyVO6 with its simulated powder diffractogram. Radiation: Cu Kα (λ = 1.5418 Å). Structure: a structure optimized by DFT (PBE+U).

Largest 10 diffraction maxima, by angle, 2θ from 10° to 90°:
4.741 Å, 18.71 deg, rel. 16
2.904 Å, 30.79 deg, rel. 100
2.476 Å, 36.28 deg, rel. 13
2.053 Å, 44.11 deg, rel. 33
1.884 Å, 48.31 deg, rel. 8
1.676 Å, 54.76 deg, rel. 39
1.452 Å, 64.15 deg, rel. 20
1.299 Å, 72.84 deg, rel. 18
1.185 Å, 81.14 deg, rel. 7
1.097 Å, 89.25 deg, rel. 21

Atomic structure:
```
Sr2DyVO6
1.0
0.0000 4.1062 4.1062
4.1062 0.0000 4.1062
4.1062 4.1062 0.0000
Sr Dy V O
2 1 1 6
direct
0.2500 0.2500 0.2500 Sr
0.7500 0.7500 0.7500 Sr
0.0000 0.0000 0.0000 Dy
0.5000 0.5000 0.5000 V
0.2686 0.2686 0.7314 O
0.2686 0.7314 0.2686 O
0.2686 0.7314 0.7314 O
0.7314 0.2686 0.2686 O
0.7314 0.2686 0.7314 O
0.7314 0.7314 0.2686 O
```

***

Record 7
This entry pairs a crystal structure of Li5V5O9F with its simulated powder diffractogram. Radiation: Cu Kα (λ = 1.5418 Å). Structure: a structure optimized by DFT (PBE+U).

Largest 10 diffraction maxima, by angle, 2θ from 10° to 90°:
4.910 Å, 18.07 deg, rel. 100
2.593 Å, 34.60 deg, rel. 14
2.569 Å, 34.93 deg, rel. 28
2.146 Å, 42.11 deg, rel. 32
2.127 Å, 42.50 deg, rel. 62
1.956 Å, 46.41 deg, rel. 14
1.636 Å, 56.22 deg, rel. 11
1.516 Å, 61.13 deg, rel. 9
1.514 Å, 61.21 deg, rel. 9
1.506 Å, 61.59 deg, rel. 25

Atomic structure:
```
Li5V5O9F
1.0
5.2039 0.0000 0.0000
0.8609 5.1923 0.0000
2.5958 2.2263 7.1855
Li V O F
5 5 9 1
direct
0.0000 0.0000 0.0000 Li
0.0031 0.6340 0.7886 Li
0.0077 0.4260 0.2170 Li
0.9870 0.8244 0.4089 Li
0.9910 0.2219 0.6096 Li
0.4836 0.3228 0.9006 V
0.4842 0.7423 0.1081 V
0.4875 0.1134 0.3138 V
0.4920 0.9170 0.7081 V
0.4926 0.5172 0.5040 V
0.2591 0.0973 0.1521 O
0.2601 0.2706 0.7473 O
0.2633 0.6656 0.9474 O
0.2627 0.8641 0.5567 O
0.2683 0.4589 0.3552 O
0.7195 0.1628 0.4609 O
0.7188 0.5639 0.6615 O
0.7226 0.9883 0.8524 O
0.7274 0.7779 0.2671 O
0.7398 0.3767 0.0558 F
```